Starting from DFT lattice parameters and positions (PBE), the X-ray diffraction stick pattern of Hf4BeRh was calculated for CuKα.
No peak broadening, texture or thermal motion is included.

The 10 most intense peaks (2θ from 10° to 80°), by intensity:
- 32.54°, I = 100
- 39.96°, I = 98
- 45.18°, I = 35
- 43.19°, I = 34
- 32.10°, I = 30
- 67.41°, I = 27
- 71.58°, I = 24
- 65.65°, I = 23
- 37.99°, I = 20
- 60.73°, I = 17

Structural model:
```
Hf4BeRh
1.0
-3.173 3.173 5.576
3.173 -3.173 5.576
3.173 3.173 -5.576
Hf Be Rh
8 2 2
Direct
0.026 0.526 0.833
0.193 0.026 0.500
0.307 0.807 0.833
0.474 0.307 0.500
0.526 0.693 0.500
0.693 0.193 0.167
0.807 0.974 0.500
0.974 0.474 0.167
0.250 0.250 0.000
0.750 0.750 0.000
0.000 0.000 0.000
0.500 0.500 0.000
```

=====

Starting from DFT lattice parameters and positions (PBE), the X-ray diffraction stick pattern of HfBe10Ru was calculated for CuKα.
No peak broadening, texture or thermal motion is included.

The 10 most intense peaks (2θ from 10° to 80°), by intensity:
- 23.54°, I = 100
- 35.37°, I = 87
- 23.31°, I = 51
- 35.21°, I = 45
- 26.01°, I = 44
- 49.29°, I = 42
- 41.10°, I = 35
- 48.16°, I = 21
- 49.65°, I = 21
- 55.55°, I = 17

Structural model:
```
HfBe10Ru
1.0
3.426 0.000 0.000
0.000 4.350 0.000
0.000 0.000 7.631
Hf Be Ru
1 10 1
Direct
0.000 0.000 0.000
0.000 0.000 0.345
0.000 0.000 0.655
0.000 0.500 0.186
0.000 0.500 0.814
0.500 0.000 0.500
0.500 0.251 0.261
0.500 0.251 0.739
0.500 0.500 0.000
0.500 0.749 0.261
0.500 0.749 0.739
0.000 0.500 0.500
```

=====

Copy entry 2 word for word.
Starting from DFT lattice parameters and positions (PBE), the X-ray diffraction stick pattern of HfBe10Ru was calculated for CuKα.
No peak broadening, texture or thermal motion is included.

The 10 most intense peaks (2θ from 10° to 80°), by intensity:
- 23.54°, I = 100
- 35.37°, I = 87
- 23.31°, I = 51
- 35.21°, I = 45
- 26.01°, I = 44
- 49.29°, I = 42
- 41.10°, I = 35
- 48.16°, I = 21
- 49.65°, I = 21
- 55.55°, I = 17

Structural model:
```
HfBe10Ru
1.0
3.426 0.000 0.000
0.000 4.350 0.000
0.000 0.000 7.631
Hf Be Ru
1 10 1
Direct
0.000 0.000 0.000
0.000 0.000 0.345
0.000 0.000 0.655
0.000 0.500 0.186
0.000 0.500 0.814
0.500 0.000 0.500
0.500 0.251 0.261
0.500 0.251 0.739
0.500 0.500 0.000
0.500 0.749 0.261
0.500 0.749 0.739
0.000 0.500 0.500
```